1.
Starting from a crystal structure in Alexandria, relaxed with GGA-PBE, the powder diffraction line list of Cd3Ag3Pd was computed for Cu Kα (weighted mean of Kα1 and Kα2).
No peak broadening, texture or thermal motion is included.

Peak list (10 most intense, 15° ≤ 2θ ≤ 90°, in order of rising 2θ)
d 3.402, 2θ 26.20, intensity 11; d 2.391, 2θ 37.62, intensity 12; d 2.371, 2θ 37.95, intensity 100; d 2.319, 2θ 38.84, intensity 17; d 2.241, 2θ 40.24, intensity 21; d 2.114, 2θ 42.77, intensity 21; d 1.861, 2θ 48.95, intensity 9; d 1.538, 2θ 60.17, intensity 12; d 1.318, 2θ 71.62, intensity 11; d 1.265, 2θ 75.13, intensity 12

Structure:
Cell: 5.826 5.826 8.457 Å, 90.00 90.00 100.60°
Element x y z (fractional)
Cd: 0.000 0.000 0.243
Cd: 0.000 0.000 0.757
Cd: 0.000 0.500 0.242
Cd: 0.000 0.500 0.758
Cd: 0.500 0.000 0.242
Cd: 0.500 0.000 0.758
Ag: 0.222 0.778 0.500
Ag: 0.300 0.300 0.500
Ag: 0.305 0.305 0.000
Ag: 0.695 0.695 0.000
Ag: 0.700 0.700 0.500
Ag: 0.778 0.222 0.500
Pd: 0.218 0.782 0.000
Pd: 0.782 0.218 0.000

---

2.
Starting from a crystal structure in Alexandria, relaxed with GGA-PBE, the powder diffraction line list of AcMg3 was computed for Cu Kα (weighted mean of Kα1 and Kα2).
No peak broadening, texture or thermal motion is included.

Peak list (10 most intense, 15° ≤ 2θ ≤ 90°, in order of rising 2θ)
d 5.471, 2θ 16.20, intensity 43; d 5.279, 2θ 16.79, intensity 51; d 5.027, 2θ 17.64, intensity 33; d 3.702, 2θ 24.04, intensity 31; d 3.241, 2θ 27.53, intensity 100; d 3.159, 2θ 28.25, intensity 79; d 2.711, 2θ 33.05, intensity 26; d 2.675, 2θ 33.51, intensity 92; d 2.068, 2θ 43.77, intensity 34; d 1.839, 2θ 49.57, intensity 41

Structure:
Cell: 6.317 6.317 20.110 Å, 90.00 90.00 120.00°
Element x y z (fractional)
Ac: 0.333 0.667 0.032
Ac: 0.333 0.667 0.250
Ac: 0.333 0.667 0.468
Ac: 0.667 0.333 0.532
Ac: 0.667 0.333 0.750
Ac: 0.667 0.333 0.968
Mg: 0.000 0.000 0.000
Mg: 0.000 0.000 0.250
Mg: 0.000 0.000 0.500
Mg: 0.000 0.000 0.750
Mg: 0.167 0.334 0.627
Mg: 0.167 0.334 0.873
Mg: 0.167 0.833 0.627
Mg: 0.167 0.833 0.873
Mg: 0.333 0.667 0.750
Mg: 0.334 0.167 0.127
Mg: 0.334 0.167 0.373
Mg: 0.666 0.833 0.627
Mg: 0.666 0.833 0.873
Mg: 0.667 0.333 0.250
Mg: 0.833 0.167 0.127
Mg: 0.833 0.167 0.373
Mg: 0.833 0.666 0.127
Mg: 0.833 0.666 0.373

---

3.
Starting from a crystal structure in Alexandria, relaxed with GGA-PBE, the powder diffraction line list of AcAu2F8 was computed for Cu Kα (weighted mean of Kα1 and Kα2).
No peak broadening, texture or thermal motion is included.

Peak list (10 most intense, 15° ≤ 2θ ≤ 90°, in order of rising 2θ)
d 5.275, 2θ 16.81, intensity 40; d 3.389, 2θ 26.30, intensity 100; d 2.970, 2θ 30.09, intensity 26; d 2.588, 2θ 34.66, intensity 13; d 2.100, 2θ 43.07, intensity 16; d 2.063, 2θ 43.89, intensity 34; d 1.785, 2θ 51.17, intensity 34; d 1.740, 2θ 52.61, intensity 16; d 1.694, 2θ 54.13, intensity 13; d 1.340, 2θ 70.27, intensity 15

Structure:
Cell: 7.108 7.108 7.108 Å, 130.60 130.60 72.45°
Element x y z (fractional)
Ac: 0.000 0.000 0.000
Au: 0.250 0.750 0.500
Au: 0.750 0.250 0.500
F: 0.035 0.561 0.845
F: 0.191 0.035 0.474
F: 0.283 0.439 0.474
F: 0.439 0.965 0.155
F: 0.561 0.717 0.526
F: 0.717 0.191 0.155
F: 0.809 0.283 0.845
F: 0.965 0.809 0.526

---

4.
Starting from a crystal structure in Alexandria, relaxed with GGA-PBE, the powder diffraction line list of Pm3Zn8Au3 was computed for Cu Kα (weighted mean of Kα1 and Kα2).
No peak broadening, texture or thermal motion is included.

Peak list (10 most intense, 15° ≤ 2θ ≤ 90°, in order of rising 2θ)
d 3.128, 2θ 28.54, intensity 89; d 3.088, 2θ 28.91, intensity 40; d 2.650, 2θ 33.83, intensity 39; d 2.615, 2θ 34.29, intensity 57; d 2.568, 2θ 34.94, intensity 40; d 2.561, 2θ 35.04, intensity 100; d 2.524, 2θ 35.57, intensity 56; d 2.379, 2θ 37.81, intensity 47; d 2.215, 2θ 40.74, intensity 87; d 2.209, 2θ 40.86, intensity 46

Structure:
Cell: 8.255 8.255 9.217 Å, 122.18 122.18 31.13°
Element x y z (fractional)
Pm: 0.000 0.000 0.000
Pm: 0.297 0.297 0.303
Pm: 0.703 0.703 0.697
Zn: 0.136 0.136 0.416
Zn: 0.138 0.138 0.847
Zn: 0.336 0.336 0.690
Zn: 0.498 0.498 0.685
Zn: 0.502 0.502 0.315
Zn: 0.664 0.664 0.310
Zn: 0.862 0.862 0.153
Zn: 0.864 0.864 0.584
Au: 0.000 0.000 0.500
Au: 0.344 0.344 0.982
Au: 0.656 0.656 0.018

---

5.
Starting from a crystal structure in Alexandria, relaxed with GGA-PBE, the powder diffraction line list of Dy4Tm2Sc5 was computed for Cu Kα (weighted mean of Kα1 and Kα2).
No peak broadening, texture or thermal motion is included.

Peak list (10 most intense, 15° ≤ 2θ ≤ 90°, in order of rising 2θ)
d 4.161, 2θ 21.35, intensity 11; d 3.771, 2θ 23.59, intensity 13; d 3.087, 2θ 28.92, intensity 15; d 3.069, 2θ 29.09, intensity 35; d 2.725, 2θ 32.87, intensity 100; d 2.538, 2θ 35.37, intensity 42; d 2.492, 2θ 36.04, intensity 42; d 2.011, 2θ 45.09, intensity 11; d 1.703, 2θ 53.82, intensity 18; d 1.427, 2θ 65.41, intensity 28

Structure:
Cell: 11.454 11.454 8.335 Å, 93.08 93.08 16.82°
Element x y z (fractional)
Dy: 0.045 0.045 0.337
Dy: 0.412 0.412 0.303
Dy: 0.588 0.588 0.697
Dy: 0.955 0.955 0.663
Tm: 0.272 0.272 0.176
Tm: 0.728 0.728 0.824
Sc: 0.130 0.130 0.038
Sc: 0.188 0.188 0.478
Sc: 0.500 0.500 0.000
Sc: 0.812 0.812 0.522
Sc: 0.870 0.870 0.962

---

6.
Starting from a crystal structure in Alexandria, relaxed with GGA-PBE, the powder diffraction line list of Y4RhSe was computed for Cu Kα (weighted mean of Kα1 and Kα2).
No peak broadening, texture or thermal motion is included.

Peak list (10 most intense, 15° ≤ 2θ ≤ 90°, in order of rising 2θ)
d 4.977, 2θ 17.82, intensity 6; d 3.048, 2θ 29.31, intensity 27; d 2.599, 2θ 34.51, intensity 100; d 2.488, 2θ 36.10, intensity 40; d 1.759, 2θ 51.97, intensity 11; d 1.659, 2θ 55.39, intensity 33; d 1.524, 2θ 60.79, intensity 29; d 1.314, 2θ 71.82, intensity 11; d 1.299, 2θ 72.78, intensity 14; d 1.122, 2θ 86.78, intensity 21

Structure:
Cell: 6.095 6.095 6.095 Å, 60.00 60.00 60.00°
Element x y z (fractional)
Y: 0.376 0.376 0.376
Y: 0.376 0.376 0.873
Y: 0.376 0.873 0.376
Y: 0.873 0.376 0.376
Rh: 0.750 0.750 0.750
Se: 0.000 0.000 0.000

---

7.
Starting from a crystal structure in Alexandria, relaxed with GGA-PBE, the powder diffraction line list of CeCu6Si2 was computed for Cu Kα (weighted mean of Kα1 and Kα2).
No peak broadening, texture or thermal motion is included.

Peak list (10 most intense, 15° ≤ 2θ ≤ 90°, in order of rising 2θ)
d 3.615, 2θ 24.63, intensity 17; d 2.823, 2θ 31.69, intensity 20; d 2.705, 2θ 33.12, intensity 13; d 2.321, 2θ 38.80, intensity 100; d 2.198, 2θ 41.07, intensity 15; d 2.038, 2θ 44.46, intensity 59; d 1.934, 2θ 46.97, intensity 24; d 1.441, 2θ 64.69, intensity 18; d 1.224, 2θ 78.06, intensity 23; d 1.099, 2θ 89.11, intensity 10

Structure:
Cell: 4.076 4.076 7.828 Å, 90.00 90.00 90.00°
Element x y z (fractional)
Ce: 0.000 0.000 0.000
Cu: 0.000 0.000 0.500
Cu: 0.000 0.500 0.310
Cu: 0.000 0.500 0.690
Cu: 0.500 0.000 0.310
Cu: 0.500 0.000 0.690
Cu: 0.500 0.500 0.500
Si: 0.500 0.500 0.152
Si: 0.500 0.500 0.848

---

8.
Starting from a crystal structure in Alexandria, relaxed with GGA-PBE, the powder diffraction line list of Er2Be4Si3Tc was computed for Cu Kα (weighted mean of Kα1 and Kα2).
No peak broadening, texture or thermal motion is included.

Peak list (10 most intense, 15° ≤ 2θ ≤ 90°, in order of rising 2θ)
d 5.019, 2θ 17.67, intensity 25; d 3.526, 2θ 25.26, intensity 100; d 2.509, 2θ 35.78, intensity 20; d 2.501, 2θ 35.90, intensity 70; d 2.352, 2θ 38.26, intensity 95; d 1.883, 2θ 48.33, intensity 31; d 1.772, 2θ 51.59, intensity 27; d 1.661, 2θ 55.31, intensity 24; d 1.505, 2θ 61.62, intensity 46; d 1.159, 2θ 83.41, intensity 20

Structure:
Cell: 3.766 3.766 10.038 Å, 90.00 90.00 90.00°
Element x y z (fractional)
Er: 0.000 0.500 0.243
Er: 0.500 0.000 0.757
Be: 0.000 0.000 0.000
Be: 0.000 0.500 0.642
Be: 0.500 0.000 0.358
Be: 0.500 0.500 0.000
Si: 0.000 0.500 0.869
Si: 0.500 0.000 0.131
Si: 0.500 0.500 0.500
Tc: 0.000 0.000 0.500

---

9.
Starting from a crystal structure in Alexandria, relaxed with GGA-PBE, the powder diffraction line list of Cd2Cu2Ir was computed for Cu Kα (weighted mean of Kα1 and Kα2).
No peak broadening, texture or thermal motion is included.

Peak list (10 most intense, 15° ≤ 2θ ≤ 90°, in order of rising 2θ)
d 2.983, 2θ 29.95, intensity 39; d 2.499, 2θ 35.94, intensity 96; d 2.331, 2θ 38.62, intensity 100; d 2.288, 2θ 39.38, intensity 27; d 2.047, 2θ 44.26, intensity 64; d 1.967, 2θ 46.15, intensity 34; d 1.816, 2θ 50.25, intensity 19; d 1.422, 2θ 65.65, intensity 16; d 1.418, 2θ 65.86, intensity 38; d 1.208, 2θ 79.32, intensity 19

Structure:
Cell: 6.472 6.472 3.934 Å, 90.00 90.00 90.00°
Element x y z (fractional)
Cd: 0.179 0.321 0.000
Cd: 0.321 0.821 0.000
Cd: 0.679 0.179 0.000
Cd: 0.821 0.679 0.000
Cu: 0.129 0.629 0.500
Cu: 0.371 0.129 0.500
Cu: 0.629 0.871 0.500
Cu: 0.871 0.371 0.500
Ir: 0.000 0.000 0.500
Ir: 0.500 0.500 0.500

---

10.
Starting from a crystal structure in Alexandria, relaxed with GGA-PBE, the powder diffraction line list of Pm2CBr3 was computed for Cu Kα (weighted mean of Kα1 and Kα2).
No peak broadening, texture or thermal motion is included.

Peak list (10 most intense, 15° ≤ 2θ ≤ 90°, in order of rising 2θ)
d 4.892, 2θ 18.13, intensity 18; d 3.446, 2θ 25.86, intensity 26; d 2.946, 2θ 30.34, intensity 34; d 2.935, 2θ 30.46, intensity 100; d 2.712, 2θ 33.03, intensity 15; d 2.166, 2θ 41.70, intensity 20; d 2.097, 2θ 43.13, intensity 28; d 2.061, 2θ 43.92, intensity 22; d 1.995, 2θ 45.46, intensity 17; d 1.767, 2θ 51.74, intensity 18

Structure:
Cell: 9.265 9.265 14.135 Å, 126.01 126.01 24.87°
Element x y z (fractional)
Pm: 0.059 0.059 0.191
Pm: 0.343 0.343 0.943
Pm: 0.657 0.657 0.057
Pm: 0.941 0.941 0.809
C: 0.486 0.486 0.944
C: 0.514 0.514 0.056
Br: 0.138 0.138 0.881
Br: 0.247 0.247 0.254
Br: 0.395 0.395 0.632
Br: 0.605 0.605 0.368
Br: 0.753 0.753 0.746
Br: 0.862 0.862 0.119

---

11.
Starting from a crystal structure in Alexandria, relaxed with GGA-PBE, the powder diffraction line list of NpNi8Pt3 was computed for Cu Kα (weighted mean of Kα1 and Kα2).
No peak broadening, texture or thermal motion is included.

Peak list (10 most intense, 15° ≤ 2θ ≤ 90°, in order of rising 2θ)
d 4.179, 2θ 21.26, intensity 20; d 3.679, 2θ 24.19, intensity 16; d 2.413, 2θ 37.27, intensity 72; d 2.199, 2θ 41.04, intensity 100; d 2.049, 2θ 44.20, intensity 92; d 2.018, 2θ 44.92, intensity 49; d 1.348, 2θ 69.76, intensity 41; d 1.311, 2θ 72.03, intensity 21; d 1.246, 2θ 76.46, intensity 25; d 1.206, 2θ 79.43, intensity 21

Structure:
Cell: 4.826 4.826 7.759 Å, 90.00 90.00 120.00°
Element x y z (fractional)
Np: 0.000 0.000 0.000
Ni: 0.164 0.329 0.680
Ni: 0.164 0.836 0.680
Ni: 0.333 0.667 0.432
Ni: 0.333 0.667 0.932
Ni: 0.503 0.006 0.188
Ni: 0.503 0.497 0.188
Ni: 0.671 0.836 0.680
Ni: 0.994 0.497 0.188
Pt: 0.000 0.000 0.376
Pt: 0.667 0.333 0.496
Pt: 0.667 0.333 0.865

---

12.
Starting from a crystal structure in Alexandria, relaxed with GGA-PBE, the powder diffraction line list of SmErBr was computed for Cu Kα (weighted mean of Kα1 and Kα2).
No peak broadening, texture or thermal motion is included.

Peak list (10 most intense, 15° ≤ 2θ ≤ 90°, in order of rising 2θ)
d 2.960, 2θ 30.19, intensity 100; d 2.453, 2θ 36.64, intensity 17; d 2.429, 2θ 37.01, intensity 53; d 1.867, 2θ 48.78, intensity 25; d 1.599, 2θ 57.65, intensity 16; d 1.579, 2θ 58.44, intensity 15; d 1.486, 2θ 62.52, intensity 22; d 1.480, 2θ 62.77, intensity 11; d 1.206, 2θ 79.49, intensity 13; d 1.160, 2θ 83.31, intensity 10

Structure:
Cell: 3.734 3.734 7.358 Å, 90.00 90.00 120.00°
Element x y z (fractional)
Sm: 0.000 0.000 0.000
Er: 0.667 0.333 0.364
Br: 0.333 0.667 0.672

---

13.
Starting from a crystal structure in Alexandria, relaxed with GGA-PBE, the powder diffraction line list of ThGa5Os2 was computed for Cu Kα (weighted mean of Kα1 and Kα2).
No peak broadening, texture or thermal motion is included.

Peak list (10 most intense, 15° ≤ 2θ ≤ 90°, in order of rising 2θ)
d 4.069, 2θ 21.84, intensity 58; d 2.782, 2θ 32.17, intensity 100; d 2.672, 2θ 33.54, intensity 59; d 2.415, 2θ 37.23, intensity 72; d 2.213, 2θ 40.77, intensity 27; d 2.034, 2θ 44.54, intensity 23; d 2.025, 2θ 44.76, intensity 58; d 2.000, 2θ 45.34, intensity 64; d 1.915, 2θ 47.48, intensity 35; d 1.391, 2θ 67.31, intensity 34

Structure:
Cell: 6.482 6.482 6.482 Å, 145.64 102.24 87.85°
Element x y z (fractional)
Th: 0.000 0.000 0.000
Ga: 0.153 0.345 0.808
Ga: 0.462 0.655 0.808
Ga: 0.500 0.000 0.500
Ga: 0.538 0.345 0.192
Ga: 0.847 0.655 0.192
Os: 0.234 0.734 0.500
Os: 0.766 0.266 0.500